For K3GePd3O8, the PBE geometry in Alexandria gives the simulated powder X-ray diffraction pattern in this record (Cu Kα (λ = 1.5418 Å)).
Kinematic intensities with the Lorentz-polarization factor, no thermal factor.

Cell and atoms:
Cell lengths 6.767, 6.767, 6.989 Å; angles 116.17, 116.17, 53.12 degrees
Fractional coordinates of all 15 atoms:
K (0.000, 0.000, 0.000)
K (0.000, 0.500, 0.000)
K (0.500, 0.000, 0.000)
Ge (0.000, 0.000, 0.500)
Pd (0.000, 0.500, 0.500)
Pd (0.500, 0.000, 0.500)
Pd (0.500, 0.500, 0.500)
O (0.192, 0.192, 0.634)
O (0.224, 0.754, 0.307)
O (0.246, 0.776, 0.693)
O (0.303, 0.303, 0.365)
O (0.697, 0.697, 0.635)
O (0.754, 0.224, 0.307)
O (0.776, 0.246, 0.693)
O (0.808, 0.808, 0.366)

Principal peaks in the range 2θ from 10° to 80°, by angle:
2θ (°), I_rel
14.6, 100
29.4, 33
32.2, 21
34.0, 37
34.2, 33
39.5, 50
51.3, 18
54.9, 18